1.
Calculated powder XRD pattern of NaHg2SbO4 for Cu Ka, from the GGA-PBE geometry in Alexandria.
Kinematic intensities with the Lorentz-polarization factor, no thermal factor.

Cell and atoms:
```
data_NaHg2SbO4
_cell_length_a 5.5688
_cell_length_b 5.7382
_cell_length_c 5.7887
_cell_angle_alpha 71.86
_cell_angle_beta 62.84
_cell_angle_gamma 71.95
_symmetry_space_group_name_H-M 'P 1'
_symmetry_Int_Tables_number 1
_symmetry_space_group_name_Hall 'P 1'
loop_
_atom_site_label
_atom_site_type_symbol
_atom_site_fract_x
_atom_site_fract_y
_atom_site_fract_z
Na1 Na 0.0000 0.0000 0.0000
Hg1 Hg 0.5577 0.6312 0.4651
Hg2 Hg 0.6798 0.9301 0.6449
Sb1 Sb 0.2291 0.2878 0.2654
O1 O 0.0633 0.5729 0.0799
O2 O 0.3769 0.0117 0.0887
O3 O 0.5237 0.3318 0.3267
O4 O 0.9538 0.1735 0.6083
```

Top 12 peaks for 2θ = 10–90°, in order of falling intensity:
- 30.2 deg, rel. 1000, hkl 1 0 -1
- 17.6 deg, rel. 594, hkl 0 0 1
- 27.1 deg, rel. 465, hkl 1 -1 0
- 26.6 deg, rel. 457, hkl 0 1 -1
- 18.3 deg, rel. 402, hkl 1 0 0
- 32.1 deg, rel. 340, hkl 1 2 1
- 31.6 deg, rel. 286, hkl 1 1 2
- 19.7 deg, rel. 225, hkl 1 0 1
- 32.7 deg, rel. 225, hkl 2 1 1
- 51.2 deg, rel. 219, hkl 0 3 0
- 44.1 deg, rel. 198, hkl 0 2 2
- 42.6 deg, rel. 197, hkl 0 1 -2

=====

2.
Calculated powder XRD pattern of NaTcHg2O4 for Cu Ka, from the GGA-PBE geometry in Alexandria.
Kinematic intensities with the Lorentz-polarization factor, no thermal factor.

Cell and atoms:
```
data_NaTcHg2O4
_cell_length_a 6.6849
_cell_length_b 6.6849
_cell_length_c 9.1252
_cell_angle_alpha 90.00
_cell_angle_beta 90.00
_cell_angle_gamma 90.00
_symmetry_space_group_name_H-M 'I -4'
_symmetry_Int_Tables_number 82
_symmetry_space_group_name_Hall 'I -4'
loop_
_atom_site_label
_atom_site_type_symbol
_atom_site_fract_x
_atom_site_fract_y
_atom_site_fract_z
Na1 Na 0.0000 0.0000 0.0000
Tc1 Tc 0.0000 0.5000 0.7500
Hg1 Hg 0.0000 0.0000 0.5000
Hg2 Hg 0.0000 0.5000 0.2500
O1 O 0.0020 0.7126 0.8601
```

Top 12 peaks for 2θ = 10–90°, in order of falling intensity:
- 27.2 deg, rel. 1000, hkl 1 1 2
- 26.7 deg, rel. 525, hkl 2 0 0
- 47.4 deg, rel. 438, hkl 1 3 2
- 16.4 deg, rel. 314, hkl 1 0 1
- 31.5 deg, rel. 263, hkl 1 2 1
- 48.3 deg, rel. 206, hkl 2 0 4
- 38.1 deg, rel. 162, hkl 2 2 0
- 56.0 deg, rel. 158, hkl 2 2 4
- 32.3 deg, rel. 123, hkl 1 0 3
- 75.4 deg, rel. 114, hkl 5 1 2
- 76.1 deg, rel. 112, hkl 4 2 4
- 77.3 deg, rel. 107, hkl 3 1 6

=====

> What is the formula in the first record?

NaHg2SbO4